Simulated powder diffractogram
Compound: LiTiO2
Radiation: a wavelength of 1.5418 Å
Structure: the PBE geometry in the Materials Project

Largest 10 diffraction maxima, sorted by position, 10 to 80 degrees two-theta:
d (Å)  2θ (°)  intensity
5.114  17.34  100
2.492  36.05  28
2.421  37.14  17
2.240  40.26  29
2.012  45.07  78
1.581  58.37  36
1.438  64.81  22
1.407  66.45  5
1.385  67.66  11
1.279  74.16  5

```
LiTiO2
1.0
2.8769 0.0000 0.0000
-1.4385 2.4915 0.0000
0.0000 0.0000 10.2288
Li Ti O
2 2 4
direct
0.0000 0.0000 0.0000
0.0000 0.0000 0.5000
0.3333 0.6667 0.2500
0.6667 0.3333 0.7500
0.3333 0.6667 0.6291
0.3333 0.6667 0.8709
0.6667 0.3333 0.1291
0.6667 0.3333 0.3709
```


Simulated powder diffractogram
Compound: Tb2Cr2C3
Radiation: a wavelength of 1.5418 Å
Structure: the PBE geometry in the Materials Project

Largest 10 diffraction maxima, sorted by position, 10 to 80 degrees two-theta:
d (Å)  2θ (°)  intensity
4.298  20.67  26
3.258  27.37  43
3.216  27.74  40
2.702  33.16  64
2.663  33.65  100
2.550  35.19  24
2.504  35.87  33
2.353  38.26  88
2.163  41.77  26
1.632  56.38  25

```
Tb2Cr2C3
1.0
5.2022 -1.6980 0.0000
5.2022 1.6980 0.0000
-1.5199 0.0000 5.4000
Tb Cr C
2 2 3
direct
0.1047 0.1047 0.3171
0.8953 0.8953 0.6829
0.3426 0.3426 0.1075
0.6574 0.6574 0.8925
0.2126 0.2126 0.7716
0.5000 0.5000 0.0000
0.7874 0.7874 0.2284
```


Simulated powder diffractogram
Compound: MnSb
Radiation: a wavelength of 1.5418 Å
Structure: the PBE geometry in the Materials Project

Largest 9 diffraction maxima, sorted by position, 10 to 80 degrees two-theta:
d (Å)  2θ (°)  intensity
3.572  24.93  100
3.093  28.86  12
2.187  41.28  68
1.865  48.82  47
1.786  51.15  3
1.547  59.80  11
1.419  65.80  19
1.383  67.74  5
1.263  75.25  22

```
MnSb
1.0
0.0000 3.0932 3.0932
3.0932 0.0000 3.0932
3.0932 3.0932 0.0000
Mn Sb
1 1
direct
0.0000 0.0000 0.0000
0.7500 0.7500 0.7500
```


Repeat the third record exactly.
Simulated powder diffractogram
Compound: MnSb
Radiation: a wavelength of 1.5418 Å
Structure: the PBE geometry in the Materials Project

Largest 9 diffraction maxima, sorted by position, 10 to 80 degrees two-theta:
d (Å)  2θ (°)  intensity
3.572  24.93  100
3.093  28.86  12
2.187  41.28  68
1.865  48.82  47
1.786  51.15  3
1.547  59.80  11
1.419  65.80  19
1.383  67.74  5
1.263  75.25  22

```
MnSb
1.0
0.0000 3.0932 3.0932
3.0932 0.0000 3.0932
3.0932 3.0932 0.0000
Mn Sb
1 1
direct
0.0000 0.0000 0.0000
0.7500 0.7500 0.7500
```